Sm3Cu3Sb4: simulated X-ray diffraction stick pattern (Cu Ka), based on a cell relaxed with PBE.
Intensities are scaled so that the largest is 100.

Atomic structure:
Cell: 8.4024 8.4024 8.4024 Å, 109.47 109.47 109.47°
Fractional positions:
Sm1 0.1250 0.8750 0.2500
Sm2 0.2500 0.1250 0.8750
Sm3 0.3750 0.6250 0.7500
Sm4 0.6250 0.7500 0.3750
Sm5 0.7500 0.3750 0.6250
Sm6 0.8750 0.2500 0.1250
Cu1 0.1250 0.7500 0.8750
Cu2 0.2500 0.6250 0.3750
Cu3 0.3750 0.2500 0.6250
Cu4 0.6250 0.3750 0.2500
Cu5 0.7500 0.8750 0.1250
Cu6 0.8750 0.1250 0.7500
Sb1 0.0000 0.1594 0.5000
Sb2 0.0000 0.6594 0.5000
Sb3 0.1594 0.5000 0.0000
Sb4 0.3406 0.3406 0.3406
Sb5 0.5000 0.0000 0.1594
Sb6 0.5000 0.0000 0.6594
Sb7 0.6594 0.5000 0.0000
Sb8 0.8406 0.8406 0.8406

Most intense lines, 2θ from 10° to 80°, sorted by position:
2θ (°)  I/Imax
29.10  53
34.59  100
41.63  35
43.76  11
45.82  17
47.80  11
58.66  18
60.34  13
61.99  9
71.45  14

***

P7Rh12: simulated X-ray diffraction stick pattern (Cu Ka), based on a cell relaxed with PBE.
Intensities are scaled so that the largest is 100.

Atomic structure:
Cell: 9.1603 9.1603 3.5348 Å, 90.00 90.00 120.00°
Fractional positions:
P1 0.0000 0.0000 0.0000
P2 0.1624 0.7186 0.5000
P3 0.2814 0.4437 0.5000
P4 0.4423 0.1585 0.0000
P5 0.5563 0.8376 0.5000
P6 0.7162 0.5577 0.0000
P7 0.8415 0.2838 0.0000
Rh1 0.0151 0.7619 0.0000
Rh2 0.1325 0.5158 0.0000
Rh3 0.2381 0.2532 0.0000
Rh4 0.2417 0.0138 0.5000
Rh5 0.3833 0.8675 0.0000
Rh6 0.4842 0.6167 0.0000
Rh7 0.5135 0.3763 0.5000
Rh8 0.6237 0.1371 0.5000
Rh9 0.7468 0.9849 0.0000
Rh10 0.7721 0.7583 0.5000
Rh11 0.8629 0.4865 0.5000
Rh12 0.9862 0.2279 0.5000

Most intense lines, 2θ from 10° to 80°, sorted by position:
2θ (°)  I/Imax
27.63  15
39.40  100
41.02  31
42.70  19
47.29  10
51.72  16
52.89  14
67.91  8
68.04  13
71.38  9

***

Nd2Mn3Cu9P7: simulated X-ray diffraction stick pattern (Cu Ka), based on a cell relaxed with PBE.
Intensities are scaled so that the largest is 100.

Atomic structure:
Cell: 9.5220 9.5220 3.8266 Å, 90.00 90.00 120.00°
Fractional positions:
Nd1 0.0000 0.0000 0.0000
Nd2 0.3333 0.6667 0.5000
Mn1 0.4522 0.2472 0.0000
Mn2 0.7528 0.2050 0.0000
Mn3 0.7950 0.5478 0.0000
Cu1 0.0523 0.7656 0.5000
Cu2 0.0902 0.3703 0.0000
Cu3 0.2344 0.2866 0.5000
Cu4 0.2800 0.9098 0.0000
Cu5 0.5021 0.0559 0.5000
Cu6 0.5537 0.4979 0.5000
Cu7 0.6297 0.7200 0.0000
Cu8 0.7134 0.9477 0.5000
Cu9 0.9441 0.4463 0.5000
P1 0.0764 0.6241 0.0000
P2 0.2542 0.0498 0.5000
P3 0.3759 0.4523 0.0000
P4 0.5477 0.9236 0.0000
P5 0.6667 0.3333 0.5000
P6 0.7956 0.7458 0.5000
P7 0.9502 0.2044 0.5000

Most intense lines, 2θ from 10° to 80°, sorted by position:
2θ (°)  I/Imax
25.66  10
28.64  9
32.58  10
37.21  100
37.79  10
39.40  11
46.24  16
47.52  19
50.73  17
72.05  12

***

BPt: simulated X-ray diffraction stick pattern (Cu Ka), based on a cell relaxed with PBE.
Intensities are scaled so that the largest is 100.

Atomic structure:
Cell: 3.7587 3.7587 3.6626 Å, 90.00 90.00 120.00°
Fractional positions:
B1 0.0000 0.0000 0.0000
B2 0.0000 0.0000 0.5000
Pt1 0.3333 0.6667 0.2500
Pt2 0.6667 0.3333 0.7500

Most intense lines, 2θ from 10° to 80°, sorted by position:
2θ (°)  I/Imax
27.40  30
36.94  100
48.43  34
49.79  9
56.54  4
57.77  11
62.44  22
72.00  18
77.60  3
78.65  4

***

Gd2CBr: simulated X-ray diffraction stick pattern (Cu Ka), based on a cell relaxed with PBE.
Intensities are scaled so that the largest is 100.

Atomic structure:
Cell: 3.7306 3.7306 14.3971 Å, 90.00 90.00 120.00°
Fractional positions:
Gd1 0.3333 0.6667 0.0902
Gd2 0.3333 0.6667 0.4098
Gd3 0.6667 0.3333 0.5902
Gd4 0.6667 0.3333 0.9098
C1 0.0000 0.0000 0.0000
C2 0.0000 0.0000 0.5000
Br1 0.3333 0.6667 0.7500
Br2 0.6667 0.3333 0.2500

Most intense lines, 2θ from 10° to 80°, sorted by position:
2θ (°)  I/Imax
12.30  6
27.61  25
28.31  7
33.43  100
37.47  18
47.18  13
48.82  24
60.47  18
63.13  20
65.06  13

***

TiTeS: simulated X-ray diffraction stick pattern (Cu Ka), based on a cell relaxed with PBE.
Intensities are scaled so that the largest is 100.

Atomic structure:
Cell: 3.6124 3.6124 6.5161 Å, 90.00 90.00 120.00°
Fractional positions:
Ti1 0.0000 0.0000 0.0000
Te1 0.6667 0.3333 0.7090
S1 0.3333 0.6667 0.1857

Most intense lines, 2θ from 10° to 80°, sorted by position:
2θ (°)  I/Imax
13.59  46
27.37  15
28.53  19
31.73  100
39.95  47
50.53  23
51.20  21
58.42  10
60.91  15
66.28  10